Entry 1:
MnH8N4Cl2: theoretical XRD peak list (CuKα), based on the PBE geometry in the Materials Project.

Crystal structure
Cell: 9.0998 8.0741 4.3407 Å, 90.00 104.35 90.00°
Space group C2/m (No. 12)
Inequivalent atoms, fractional coordinates:
Mn 0.0000 0.0000 0.0000 x2
H 0.0501 0.3138 0.2917 x8
H 0.1559 0.1735 0.5280 x8
N 0.0490 0.1984 0.3918 x8
Cl 0.2176 0.5000 0.0005 x4

Largest 8 diffraction maxima, by angle, 10° ≤ 2θ ≤ 90°:
14.88°, d 5.954, I = 73.9, (1 1 0)
21.13°, d 4.205, I = 26.0, (0 0 1)
22.02°, d 4.037, I = 22.7, (0 2 0)
30.70°, d 2.912, I = 100.0, (0 2 1)
32.42°, d 2.761, I = 32.8, (3 1 0)
34.45°, d 2.603, I = 25.0, (3 1 -1)
41.27°, d 2.188, I = 12.6, (4 0 -1)
47.26°, d 1.923, I = 15.7, (3 3 -1)

***

Entry 2:
RbNdF4: theoretical XRD peak list (CuKα), based on the PBE geometry in the Materials Project.

Crystal structure
Cell: 6.4407 3.7983 16.3627 Å, 90.00 90.00 90.00°
Space group Pnma (No. 62)
Inequivalent atoms, fractional coordinates:
Rb 0.2259 0.2500 0.1998 x4
Nd 0.2488 0.7500 0.4424 x4
F 0.0007 0.2500 0.0543 x4
F 0.0975 0.2500 0.8147 x4
F 0.1129 0.2500 0.3709 x4
F 0.1299 0.2500 0.5355 x4

Largest 8 diffraction maxima, by angle, 10° ≤ 2θ ≤ 90°:
10.81°, d 8.181, I = 30.0, (0 0 2)
25.80°, d 3.453, I = 100.0, (1 0 4)
27.70°, d 3.220, I = 40.9, (2 0 0)
27.81°, d 3.208, I = 83.9, (1 1 1)
28.64°, d 3.117, I = 45.1, (0 1 3)
40.27°, d 2.240, I = 59.5, (2 1 3)
46.21°, d 1.965, I = 26.6, (2 1 5)
47.85°, d 1.901, I = 86.4, (0 2 0)

***

Entry 3:
Bi12PbO20: theoretical XRD peak list (CuKα), based on the PBE geometry in the Materials Project.

Crystal structure
Cell: 10.4298 10.4298 10.4298 Å, 90.00 90.00 90.00°
Space group I23 (No. 197)
Inequivalent atoms, fractional coordinates:
Bi 0.0137 0.3195 0.8216 x24
Pb 0.0000 0.0000 0.0000 x2
O 0.0097 0.2544 0.3689 x24
O 0.1168 0.1168 0.1168 x8
O 0.1824 0.1824 0.8176 x8

Largest 8 diffraction maxima, by angle, 10° ≤ 2θ ≤ 90°:
27.03°, d 3.298, I = 100.0, (3 0 1)
29.67°, d 3.011, I = 27.0, (2 2 2)
32.11°, d 2.787, I = 72.3, (3 1 2)
44.28°, d 2.045, I = 18.7, (4 3 1)
51.06°, d 1.789, I = 37.1, (5 3 0)
52.65°, d 1.738, I = 20.6, (6 0 0)
54.21°, d 1.692, I = 31.9, (5 2 3)
60.17°, d 1.538, I = 21.4, (6 1 3)

***

Entry 4:
CeSe2: theoretical XRD peak list (CuKα), based on the PBE geometry in the Materials Project.

Crystal structure
Cell: 12.4171 12.4171 5.7077 Å, 90.00 90.00 90.00°
Space group I4/m (No. 87)
Inequivalent atoms, fractional coordinates:
Ce 0.0133 0.3081 0.0000 x8
Se 0.0068 0.3514 0.5000 x8
Se 0.1542 0.8311 0.0000 x8

Largest 8 diffraction maxima, by angle, 10° ≤ 2θ ≤ 90°:
10.07°, d 8.780, I = 100.0, (1 1 0)
17.10°, d 5.186, I = 55.5, (1 0 1)
20.23°, d 4.390, I = 45.8, (2 2 0)
22.34°, d 3.980, I = 42.4, (2 1 1)
30.54°, d 2.927, I = 99.7, (3 3 0)
31.34°, d 2.854, I = 56.1, (0 0 2)
39.58°, d 2.277, I = 35.3, (4 3 1)
44.33°, d 2.043, I = 70.7, (3 3 2)

***

Entry 5:
HfCo2: theoretical XRD peak list (CuKα), based on the PBE geometry in the Materials Project.

Crystal structure
Cell: 6.8799 6.8799 6.8799 Å, 90.00 90.00 90.00°
Space group Fd-3m (No. 227, origin choice 2)
Inequivalent atoms, fractional coordinates:
Hf 0.1250 0.1250 0.1250 x8
Co 0.0000 0.0000 0.5000 x16

Largest 8 diffraction maxima, by angle, 10° ≤ 2θ ≤ 90°:
22.38°, d 3.972, I = 20.1, (1 1 1)
36.96°, d 2.432, I = 71.2, (2 2 0)
43.63°, d 2.074, I = 100.0, (3 1 1)
45.68°, d 1.986, I = 12.6, (2 2 2)
58.47°, d 1.578, I = 5.3, (3 3 1)
66.59°, d 1.404, I = 25.8, (4 2 2)
71.22°, d 1.324, I = 30.1, (5 1 1)
78.67°, d 1.216, I = 21.8, (4 4 0)

***

Entry 6:
InSiIr: theoretical XRD peak list (CuKα), based on the PBE geometry in the Materials Project.

Crystal structure
Cell: 6.2137 6.2137 6.2137 Å, 90.00 90.00 90.00°
Space group F-43m (No. 216)
Inequivalent atoms, fractional coordinates:
In 0.0000 0.0000 0.0000 x4
Si 0.2500 0.2500 0.2500 x4
Ir 0.2500 0.2500 0.7500 x4

Largest 8 diffraction maxima, by angle, 10° ≤ 2θ ≤ 90°:
24.82°, d 3.588, I = 87.4, (1 1 1)
28.73°, d 3.107, I = 11.7, (2 0 0)
41.09°, d 2.197, I = 100.0, (2 2 0)
48.60°, d 1.874, I = 43.9, (3 1 1)
59.51°, d 1.553, I = 16.7, (4 0 0)
65.48°, d 1.426, I = 17.9, (3 3 1)
74.86°, d 1.268, I = 34.0, (4 2 2)
80.28°, d 1.196, I = 13.5, (5 1 1)